No. 1
This entry pairs a crystal structure of Si5Pt12 with its calculated X-ray diffraction stick pattern. Radiation: Cu Kα, 1.54184 Å. Structure: a GGA-PBE-relaxed structure.
Peak positions follow from Bragg's law for the DFT cell and can differ from measured ones.

Top 10 peaks for 15 to 90 degrees two-theta, sorted by position:
d = 3.400 Å, rel. 20.8
d = 3.032 Å, rel. 35.9
d = 2.581 Å, rel. 55.5
d = 2.412 Å, rel. 21.8
d = 2.398 Å, rel. 64.3
d = 2.260 Å, rel. 34.9
d = 2.144 Å, rel. 69.1
d = 2.053 Å, rel. 100.0
d = 1.417 Å, rel. 18.4
d = 1.332 Å, rel. 27.7

Structure:
Lattice parameters (Å, degrees): 7.331 7.331 7.331 98.33 98.33 135.24
Fractional positions:
Si  0.000  0.000  0.000
Si  0.195  0.579  0.774
Si  0.421  0.195  0.616
Si  0.579  0.805  0.384
Si  0.805  0.421  0.226
Pt  0.057  0.367  0.424
Pt  0.076  0.128  0.704
Pt  0.128  0.425  0.053
Pt  0.367  0.943  0.310
Pt  0.372  0.076  0.947
Pt  0.425  0.372  0.296
Pt  0.575  0.628  0.704
Pt  0.628  0.924  0.053
Pt  0.633  0.057  0.690
Pt  0.872  0.575  0.947
Pt  0.924  0.872  0.296
Pt  0.943  0.633  0.576

No. 2
This entry pairs a crystal structure of SiPt with its calculated X-ray diffraction stick pattern. Radiation: Cu Kα, 1.54184 Å. Structure: a GGA-PBE-relaxed structure.
Peak positions follow from Bragg's law for the DFT cell and can differ from measured ones.

Top 10 peaks for 15 to 90 degrees two-theta, sorted by position:
d = 3.832 Å, rel. 76.6
d = 3.119 Å, rel. 40.4
d = 2.916 Å, rel. 27.7
d = 2.882 Å, rel. 93.7
d = 2.492 Å, rel. 37.8
d = 2.263 Å, rel. 100.0
d = 2.040 Å, rel. 33.6
d = 1.963 Å, rel. 69.6
d = 1.758 Å, rel. 37.8
d = 1.649 Å, rel. 39.5

Structure:
Lattice parameters (Å, degrees): 4.176 4.176 6.132 122.35 122.35 46.52
Fractional positions:
Si  0.000  0.000  0.000
Si  0.635  0.635  0.457
Pt  0.443  0.443  0.678
Pt  0.818  0.818  0.218

No. 3
This entry pairs a crystal structure of Sm2Si7Pt12 with its calculated X-ray diffraction stick pattern. Radiation: Cu Kα, 1.54184 Å. Structure: a GGA-PBE-relaxed structure.
Peak positions follow from Bragg's law for the DFT cell and can differ from measured ones.

Top 10 peaks for 15 to 90 degrees two-theta, sorted by position:
d = 3.254 Å, rel. 20.0
d = 2.522 Å, rel. 100.0
d = 2.049 Å, rel. 9.4
d = 1.996 Å, rel. 15.6
d = 1.975 Å, rel. 14.8
d = 1.879 Å, rel. 16.4
d = 1.368 Å, rel. 11.1
d = 1.303 Å, rel. 9.3
d = 1.232 Å, rel. 10.7
d = 1.175 Å, rel. 9.9

Structure:
Lattice parameters (Å, degrees): 9.942 9.942 3.992 90.00 90.00 120.00
Fractional positions:
Sm  0.333  0.667  0.246
Sm  0.667  0.333  0.754
Si  0.000  0.000  0.500
Si  0.116  0.404  0.746
Si  0.288  0.884  0.746
Si  0.404  0.288  0.254
Si  0.596  0.712  0.746
Si  0.712  0.116  0.254
Si  0.884  0.596  0.254
Pt  0.071  0.620  0.749
Pt  0.113  0.853  0.241
Pt  0.147  0.260  0.241
Pt  0.260  0.113  0.759
Pt  0.380  0.452  0.749
Pt  0.452  0.071  0.251
Pt  0.548  0.929  0.749
Pt  0.620  0.548  0.251
Pt  0.740  0.887  0.241
Pt  0.853  0.740  0.759
Pt  0.887  0.147  0.759
Pt  0.929  0.380  0.251

No. 4
This entry pairs a crystal structure of Sm3Si3Pt with its calculated X-ray diffraction stick pattern. Radiation: Cu Kα, 1.54184 Å. Structure: a GGA-PBE-relaxed structure.
Peak positions follow from Bragg's law for the DFT cell and can differ from measured ones.

Top 10 peaks for 15 to 90 degrees two-theta, sorted by position:
d = 3.362 Å, rel. 34.3
d = 2.797 Å, rel. 100.0
d = 2.772 Å, rel. 51.9
d = 2.468 Å, rel. 17.7
d = 2.184 Å, rel. 21.4
d = 2.142 Å, rel. 22.1
d = 2.110 Å, rel. 15.6
d = 2.021 Å, rel. 18.6
d = 1.806 Å, rel. 24.4
d = 1.633 Å, rel. 21.5

Structure:
Lattice parameters (Å, degrees): 9.553 9.553 9.553 155.58 154.08 35.91
Fractional positions:
Sm  0.000  0.000  0.000
Sm  0.185  0.685  0.500
Sm  0.368  0.368  0.000
Si  0.540  0.540  0.000
Si  0.748  0.248  0.500
Si  0.828  0.828  0.000
Pt  0.618  0.118  0.500

No. 5
This entry pairs a crystal structure of SmSi2Pt2 with its calculated X-ray diffraction stick pattern. Radiation: Cu Kα, 1.54184 Å. Structure: a GGA-PBE-relaxed structure.
Peak positions follow from Bragg's law for the DFT cell and can differ from measured ones.

Top 10 peaks for 15 to 90 degrees two-theta, sorted by position:
d = 4.959 Å, rel. 23.4
d = 2.604 Å, rel. 12.6
d = 2.559 Å, rel. 100.0
d = 2.479 Å, rel. 18.0
d = 2.113 Å, rel. 34.8
d = 1.908 Å, rel. 12.4
d = 1.608 Å, rel. 19.7
d = 1.494 Å, rel. 11.6
d = 1.446 Å, rel. 16.4
d = 1.290 Å, rel. 23.9

Structure:
Lattice parameters (Å, degrees): 5.790 5.790 5.790 137.19 137.19 62.15
Fractional positions:
Sm  0.000  0.000  0.000
Si  0.381  0.381  0.000
Si  0.619  0.619  0.000
Pt  0.250  0.750  0.500
Pt  0.750  0.250  0.500

No. 6
This entry pairs a crystal structure of SmSi2Pt2 with its calculated X-ray diffraction stick pattern. Radiation: Cu Kα, 1.54184 Å. Structure: a GGA-PBE-relaxed structure.
Peak positions follow from Bragg's law for the DFT cell and can differ from measured ones.

Top 10 peaks for 15 to 90 degrees two-theta, sorted by position:
d = 3.270 Å, rel. 27.7
d = 3.215 Å, rel. 32.1
d = 2.878 Å, rel. 83.3
d = 2.593 Å, rel. 74.5
d = 2.566 Å, rel. 100.0
d = 2.129 Å, rel. 77.2
d = 1.901 Å, rel. 26.5
d = 1.783 Å, rel. 42.6
d = 1.645 Å, rel. 38.5
d = 1.367 Å, rel. 27.0

Structure:
Lattice parameters (Å, degrees): 4.257 4.257 9.810 90.00 90.00 90.00
Fractional positions:
Sm  0.250  0.250  0.245
Sm  0.750  0.750  0.755
Si  0.250  0.250  0.632
Si  0.250  0.750  0.000
Si  0.750  0.250  0.000
Si  0.750  0.750  0.368
Pt  0.250  0.250  0.878
Pt  0.250  0.750  0.500
Pt  0.750  0.250  0.500
Pt  0.750  0.750  0.122

No. 7
This entry pairs a crystal structure of Sm2Si12Pt7 with its calculated X-ray diffraction stick pattern. Radiation: Cu Kα, 1.54184 Å. Structure: a GGA-PBE-relaxed structure.
Peak positions follow from Bragg's law for the DFT cell and can differ from measured ones.

Top 10 peaks for 15 to 90 degrees two-theta, sorted by position:
d = 3.288 Å, rel. 100.0
d = 3.127 Å, rel. 79.4
d = 2.943 Å, rel. 72.1
d = 2.900 Å, rel. 34.0
d = 2.539 Å, rel. 90.1
d = 2.065 Å, rel. 31.3
d = 1.997 Å, rel. 21.6
d = 1.910 Å, rel. 22.2
d = 1.898 Å, rel. 50.6
d = 1.785 Å, rel. 51.5

Structure:
Lattice parameters (Å, degrees): 10.046 10.046 3.995 90.00 90.00 120.00
Fractional positions:
Sm  0.333  0.667  0.224
Sm  0.667  0.333  0.776
Si  0.065  0.440  0.766
Si  0.120  0.265  0.223
Si  0.145  0.880  0.223
Si  0.265  0.145  0.777
Si  0.374  0.935  0.766
Si  0.440  0.374  0.234
Si  0.560  0.626  0.766
Si  0.626  0.065  0.234
Si  0.735  0.855  0.223
Si  0.855  0.120  0.777
Si  0.880  0.735  0.777
Si  0.935  0.560  0.234
Pt  0.000  0.000  0.000
Pt  0.107  0.703  0.707
Pt  0.297  0.404  0.707
Pt  0.404  0.107  0.293
Pt  0.596  0.893  0.707
Pt  0.703  0.596  0.293
Pt  0.893  0.297  0.293

Copy entry 3 word for word.
This entry pairs a crystal structure of Sm2Si7Pt12 with its calculated X-ray diffraction stick pattern. Radiation: Cu Kα, 1.54184 Å. Structure: a GGA-PBE-relaxed structure.
Peak positions follow from Bragg's law for the DFT cell and can differ from measured ones.

Top 10 peaks for 15 to 90 degrees two-theta, sorted by position:
d = 3.254 Å, rel. 20.0
d = 2.522 Å, rel. 100.0
d = 2.049 Å, rel. 9.4
d = 1.996 Å, rel. 15.6
d = 1.975 Å, rel. 14.8
d = 1.879 Å, rel. 16.4
d = 1.368 Å, rel. 11.1
d = 1.303 Å, rel. 9.3
d = 1.232 Å, rel. 10.7
d = 1.175 Å, rel. 9.9

Structure:
Lattice parameters (Å, degrees): 9.942 9.942 3.992 90.00 90.00 120.00
Fractional positions:
Sm  0.333  0.667  0.246
Sm  0.667  0.333  0.754
Si  0.000  0.000  0.500
Si  0.116  0.404  0.746
Si  0.288  0.884  0.746
Si  0.404  0.288  0.254
Si  0.596  0.712  0.746
Si  0.712  0.116  0.254
Si  0.884  0.596  0.254
Pt  0.071  0.620  0.749
Pt  0.113  0.853  0.241
Pt  0.147  0.260  0.241
Pt  0.260  0.113  0.759
Pt  0.380  0.452  0.749
Pt  0.452  0.071  0.251
Pt  0.548  0.929  0.749
Pt  0.620  0.548  0.251
Pt  0.740  0.887  0.241
Pt  0.853  0.740  0.759
Pt  0.887  0.147  0.759
Pt  0.929  0.380  0.251